Theoretical powder XRD pattern
Compound: V4CrCoO12
Radiation: Cu Kα (weighted mean of Kα1 and Kα2)
Structure: DFT lattice parameters and positions (GGA+U)
Neutral-atom scattering factors, no anomalous dispersion.

Cell and atoms:
```
V4CrCoO12
1.0
5.031 -4.548 0.000
5.031 4.548 0.000
-2.048 0.000 5.534
V Cr Co O
4 1 1 12
Cartesian
0.009 1.666 5.485 V
1.027 0.000 2.722 V
8.005 1.666 0.049 V
6.987 0.000 2.812 V
4.007 1.574 2.767 Cr
5.031 0.039 0.000 Co
2.510 2.954 2.912 O
-0.020 0.927 3.839 O
1.014 0.730 1.094 O
3.655 1.552 0.600 O
5.504 2.954 2.623 O
2.643 0.112 3.342 O
4.359 1.552 4.935 O
3.502 -1.280 0.122 O
5.371 0.112 2.192 O
8.034 0.927 1.695 O
7.000 0.730 4.440 O
4.512 -1.280 5.412 O
```

The 10 most intense peaks (2θ = 10–90°), in order of falling intensity:
two_theta  I_rel
28.1  1000
30.1  627
19.5  480
32.4  478
18.3  415
23.4  258
35.0  250
44.8  242
13.5  218
54.7  194